# 1
This entry pairs a crystal structure of Na5LiMn2P2C2O14 with its theoretical XRD peak list. Radiation: copper Kα. Structure: a DFT-relaxed cell (GGA+U, the Materials Project).
Peak positions follow from Bragg's law for the DFT cell and can differ from measured ones.

Structural model:
Unit cell a=6.7670 b=8.9833 c=10.3751 alpha=90.03 beta=90.34 gamma=90.64
Fractional positions:
1 Na 0.0009 0.2416 0.3737
2 Na 0.2439 0.4174 0.1290
3 Na 0.2479 0.4164 0.6305
4 Na 0.4984 0.2422 0.8737
5 Na 0.4990 0.2409 0.3733
6 Na 0.5010 0.7591 0.6267
7 Na 0.5016 0.7578 0.1263
8 Na 0.7521 0.5836 0.3695
9 Na 0.7561 0.5826 0.8710
10 Na 0.9991 0.7584 0.6263
11 Li 0.0121 0.2299 0.8689
12 Li 0.9879 0.7701 0.1311
13 Mn 0.2472 0.8619 0.3582
14 Mn 0.2498 0.8612 0.8632
15 Mn 0.7502 0.1388 0.1368
16 Mn 0.7528 0.1381 0.6418
17 P 0.2416 0.0874 0.0986
18 P 0.2506 0.0883 0.6032
19 P 0.7494 0.9117 0.3968
20 P 0.7584 0.9126 0.9014
21 C 0.2421 0.5559 0.8827
22 C 0.2490 0.5606 0.3816
23 C 0.7510 0.4394 0.6184
24 C 0.7579 0.4441 0.1173
25 O 0.0649 0.1815 0.1452
26 O 0.0691 0.1802 0.6475
27 O 0.2308 0.4115 0.8924
28 O 0.2344 0.0773 0.9477
29 O 0.2342 0.9260 0.1540
30 O 0.2462 0.0711 0.4530
31 O 0.2472 0.6228 0.2686
32 O 0.2472 0.6397 0.9853
33 O 0.2471 0.6443 0.4844
34 O 0.2494 0.6192 0.7697
35 O 0.2510 0.9307 0.6635
36 O 0.2525 0.4166 0.3926
37 O 0.4325 0.1732 0.1403
38 O 0.4369 0.1806 0.6431
39 O 0.5631 0.8194 0.3569
40 O 0.5675 0.8268 0.8597
41 O 0.7475 0.5834 0.6074
42 O 0.7490 0.0693 0.3365
43 O 0.7506 0.3808 0.2303
44 O 0.7529 0.3557 0.5156
45 O 0.7528 0.3603 0.0147
46 O 0.7528 0.3772 0.7314
47 O 0.7538 0.9289 0.5470
48 O 0.7658 0.0740 0.8460
49 O 0.7656 0.9227 0.0523
50 O 0.7692 0.5885 0.1076
51 O 0.9309 0.8198 0.3525
52 O 0.9351 0.8185 0.8548

Peak list (10 most intense, 10 to 90 degrees two-theta, sorted by position)
2θ (°), I_rel
19.8, 519
26.2, 365
26.3, 1000
33.0, 402
33.1, 373
33.3, 368
34.6, 985
48.4, 276
48.9, 258
54.2, 352


# 2
This entry pairs a crystal structure of NaLi2MnPCO7 with its theoretical XRD peak list. Radiation: copper Kα. Structure: a DFT-relaxed cell (GGA+U, the Materials Project).
Peak positions follow from Bragg's law for the DFT cell and can differ from measured ones.

Structural model:
Unit cell a=5.1070 b=6.7866 c=8.7414 alpha=95.76 beta=92.74 gamma=90.46
Fractional positions:
1 Na 0.2469 0.4843 0.2433
2 Na 0.7531 0.5157 0.7567
3 Li 0.2442 0.1863 0.9100
4 Li 0.2665 0.9424 0.2903
5 Li 0.7335 0.0576 0.7097
6 Li 0.7558 0.8137 0.0900
7 Mn 0.2800 0.7689 0.6477
8 Mn 0.7200 0.2311 0.3523
9 P 0.2201 0.2505 0.5856
10 P 0.7799 0.7495 0.4144
11 C 0.2242 0.7675 0.9630
12 C 0.7758 0.2325 0.0370
13 O 0.0493 0.7827 0.8506
14 O 0.0859 0.7679 0.4266
15 O 0.1425 0.7607 0.1010
16 O 0.3062 0.4562 0.6629
17 O 0.3187 0.2121 0.4194
18 O 0.3314 0.0946 0.6919
19 O 0.4702 0.7625 0.9339
20 O 0.5298 0.2375 0.0661
21 O 0.6686 0.9054 0.3081
22 O 0.6813 0.7879 0.5806
23 O 0.6938 0.5438 0.3371
24 O 0.8575 0.2393 0.8990
25 O 0.9141 0.2321 0.5734
26 O 0.9507 0.2173 0.1494

Peak list (10 most intense, 10 to 90 degrees two-theta, sorted by position)
2θ (°), I_rel
10.2, 1000
20.6, 246
25.2, 218
26.3, 322
26.4, 751
31.9, 190
34.9, 193
35.2, 377
36.2, 232
37.6, 236


# 3
This entry pairs a crystal structure of NaLi5Mn2P2C2O14 with its theoretical XRD peak list. Radiation: copper Kα. Structure: a DFT-relaxed cell (GGA+U, the Materials Project).
Peak positions follow from Bragg's law for the DFT cell and can differ from measured ones.

Structural model:
Unit cell a=8.6405 b=6.6755 c=9.9866 alpha=90.00 beta=92.41 gamma=90.00
Fractional positions:
1 Na 0.2481 0.0000 0.3741
2 Na 0.7519 0.5000 0.6259
3 Li 0.0866 0.2445 0.6288
4 Li 0.0868 0.2617 0.1264
5 Li 0.2661 0.0258 0.8822
6 Li 0.2656 0.4747 0.8828
7 Li 0.2691 0.4753 0.3863
8 Li 0.7309 0.9753 0.6137
9 Li 0.7339 0.5258 0.1178
10 Li 0.7344 0.9747 0.1172
11 Li 0.9134 0.7445 0.3712
12 Li 0.9132 0.7617 0.8736
13 Mn 0.3505 0.7504 0.1097
14 Mn 0.3545 0.7455 0.6147
15 Mn 0.6455 0.2455 0.3853
16 Mn 0.6495 0.2504 0.8903
17 P 0.4059 0.2447 0.6471
18 P 0.4078 0.2562 0.1429
19 P 0.5922 0.7562 0.8571
20 P 0.5941 0.7447 0.3529
21 C 0.0386 0.7499 0.1346
22 C 0.0438 0.7598 0.6390
23 C 0.9562 0.2598 0.3610
24 C 0.9614 0.2499 0.8654
25 O 0.0813 0.7530 0.0121
26 O 0.0815 0.7552 0.5148
27 O 0.0994 0.2830 0.3286
28 O 0.1072 0.2483 0.8366
29 O 0.1427 0.7482 0.2329
30 O 0.1496 0.7402 0.7352
31 O 0.3039 0.0621 0.6050
32 O 0.3114 0.4353 0.0850
33 O 0.3119 0.0686 0.0976
34 O 0.3137 0.4293 0.5923
35 O 0.4181 0.2685 0.2991
36 O 0.4201 0.2548 0.8041
37 O 0.4229 0.7533 0.9043
38 O 0.4277 0.7333 0.4056
39 O 0.5723 0.2333 0.5944
40 O 0.5771 0.2533 0.0957
41 O 0.5799 0.7548 0.1959
42 O 0.5819 0.7685 0.7009
43 O 0.6863 0.9293 0.4077
44 O 0.6881 0.5686 0.9024
45 O 0.6886 0.9353 0.9150
46 O 0.6961 0.5621 0.3950
47 O 0.8504 0.2402 0.2648
48 O 0.8573 0.2482 0.7671
49 O 0.8928 0.7483 0.1634
50 O 0.9006 0.7830 0.6714
51 O 0.9187 0.2530 0.9879
52 O 0.9185 0.2552 0.4852

Peak list (10 most intense, 10 to 90 degrees two-theta, sorted by position)
2θ (°), I_rel
10.2, 760
20.2, 238
20.9, 240
26.7, 1000
31.1, 183
34.0, 186
36.0, 227
41.9, 181
50.3, 180
55.0, 174


# 4
This entry pairs a crystal structure of NaLi2MnPCO7 with its theoretical XRD peak list. Radiation: copper Kα. Structure: a DFT-relaxed cell (GGA+U, the Materials Project).
Peak positions follow from Bragg's law for the DFT cell and can differ from measured ones.

Structural model:
Unit cell a=5.1055 b=6.7836 c=8.7693 alpha=97.18 beta=92.27 gamma=90.62
Fractional positions:
1 Na 0.2499 0.0247 0.2614
2 Na 0.7501 0.9753 0.7386
3 Li 0.2269 0.5681 0.2060
4 Li 0.2677 0.3212 0.5895
5 Li 0.7323 0.6788 0.4105
6 Li 0.7731 0.4319 0.7940
7 Mn 0.2210 0.7279 0.8529
8 Mn 0.7790 0.2721 0.1471
9 P 0.2808 0.2457 0.9156
10 P 0.7192 0.7543 0.0844
11 C 0.2671 0.7321 0.5346
12 C 0.7329 0.2679 0.4654
13 O 0.0213 0.7360 0.5648
14 O 0.1733 0.4000 0.8103
15 O 0.1831 0.2916 0.0823
16 O 0.1891 0.0386 0.8400
17 O 0.3497 0.7459 0.3979
18 O 0.4129 0.7393 0.0737
19 O 0.4421 0.7103 0.6446
20 O 0.5579 0.2897 0.3554
21 O 0.5871 0.2607 0.9263
22 O 0.6503 0.2541 0.6021
23 O 0.8109 0.9614 0.1600
24 O 0.8169 0.7084 0.9177
25 O 0.8267 0.6000 0.1897
26 O 0.9787 0.2640 0.4352

Peak list (10 most intense, 10 to 90 degrees two-theta, sorted by position)
2θ (°), I_rel
10.2, 1000
20.5, 234
25.3, 231
26.4, 340
26.5, 753
27.5, 197
31.5, 201
35.0, 259
35.2, 309
37.2, 264


Repeat the second record exactly.
This entry pairs a crystal structure of NaLi2MnPCO7 with its theoretical XRD peak list. Radiation: copper Kα. Structure: a DFT-relaxed cell (GGA+U, the Materials Project).
Peak positions follow from Bragg's law for the DFT cell and can differ from measured ones.

Structural model:
Unit cell a=5.1070 b=6.7866 c=8.7414 alpha=95.76 beta=92.74 gamma=90.46
Fractional positions:
1 Na 0.2469 0.4843 0.2433
2 Na 0.7531 0.5157 0.7567
3 Li 0.2442 0.1863 0.9100
4 Li 0.2665 0.9424 0.2903
5 Li 0.7335 0.0576 0.7097
6 Li 0.7558 0.8137 0.0900
7 Mn 0.2800 0.7689 0.6477
8 Mn 0.7200 0.2311 0.3523
9 P 0.2201 0.2505 0.5856
10 P 0.7799 0.7495 0.4144
11 C 0.2242 0.7675 0.9630
12 C 0.7758 0.2325 0.0370
13 O 0.0493 0.7827 0.8506
14 O 0.0859 0.7679 0.4266
15 O 0.1425 0.7607 0.1010
16 O 0.3062 0.4562 0.6629
17 O 0.3187 0.2121 0.4194
18 O 0.3314 0.0946 0.6919
19 O 0.4702 0.7625 0.9339
20 O 0.5298 0.2375 0.0661
21 O 0.6686 0.9054 0.3081
22 O 0.6813 0.7879 0.5806
23 O 0.6938 0.5438 0.3371
24 O 0.8575 0.2393 0.8990
25 O 0.9141 0.2321 0.5734
26 O 0.9507 0.2173 0.1494

Peak list (10 most intense, 10 to 90 degrees two-theta, sorted by position)
2θ (°), I_rel
10.2, 1000
20.6, 246
25.2, 218
26.3, 322
26.4, 751
31.9, 190
34.9, 193
35.2, 377
36.2, 232
37.6, 236